For Na6PtPb2, a GGA-PBE-relaxed structure gives the calculated powder diffractogram in this record (Cu Kα (λ = 1.5418 Å)).
Intensities are scaled so that the largest is 100.

Peak list (6 most intense, 2θ from 5° to 70°, in order of rising 2θ)
2θ = 19.3°, d 4.603, I = 100.0
2θ = 19.9°, d 4.456, I = 40.2
2θ = 33.3°, d 2.688, I = 59.8
2θ = 34.9°, d 2.571, I = 44.1
2θ = 37.4°, d 2.402, I = 22.9
2θ = 49.0°, d 1.858, I = 38.7

Crystal structure
Lattice parameters (Å, degrees): 10.739 10.739 10.739 28.99 28.99 28.99
Atoms (fractional coordinates):
1 Na 0.086 0.086 0.086
2 Na 0.193 0.193 0.193
3 Na 0.307 0.307 0.307
4 Na 0.693 0.693 0.693
5 Na 0.807 0.807 0.807
6 Na 0.914 0.914 0.914
7 Pt 0.500 0.500 0.500
8 Pb 0.413 0.413 0.413
9 Pb 0.587 0.587 0.587

---

For CeHgH4Pd6, a GGA-PBE-relaxed structure gives the calculated powder diffractogram in this record (Cu Kα (λ = 1.5418 Å)).
Intensities are scaled so that the largest is 100.

Peak list (6 most intense, 2θ from 5° to 70°, in order of rising 2θ)
2θ = 33.8°, d 2.651, I = 83.1
2θ = 37.9°, d 2.371, I = 100.0
2θ = 43.5°, d 2.080, I = 41.0
2θ = 59.1°, d 1.564, I = 33.3
2θ = 65.9°, d 1.417, I = 11.9
2θ = 68.5°, d 1.369, I = 17.5

Crystal structure
Lattice parameters (Å, degrees): 5.477 5.477 6.394 90.00 90.00 120.00
Atoms (fractional coordinates):
1 Ce 0.000 0.000 0.000
2 Hg 0.000 0.000 0.500
3 H 0.333 0.667 0.149
4 H 0.333 0.667 0.851
5 H 0.667 0.333 0.149
6 H 0.667 0.333 0.851
7 Pd 0.000 0.500 0.279
8 Pd 0.000 0.500 0.721
9 Pd 0.500 0.000 0.279
10 Pd 0.500 0.000 0.721
11 Pd 0.500 0.500 0.279
12 Pd 0.500 0.500 0.721

---

For Tl3Sb5Pb6, a GGA-PBE-relaxed structure gives the calculated powder diffractogram in this record (Cu Kα (λ = 1.5418 Å)).
Intensities are scaled so that the largest is 100.

Peak list (6 most intense, 2θ from 5° to 70°, in order of rising 2θ)
2θ = 23.3°, d 3.813, I = 25.0
2θ = 29.1°, d 3.073, I = 100.0
2θ = 30.4°, d 2.940, I = 32.9
2θ = 32.1°, d 2.792, I = 61.8
2θ = 39.9°, d 2.260, I = 36.9
2θ = 43.1°, d 2.097, I = 24.2

Crystal structure
Lattice parameters (Å, degrees): 4.520 17.688 11.921 90.00 90.00 90.00
Atoms (fractional coordinates):
1 Tl 0.250 0.126 0.191
2 Tl 0.250 0.374 0.191
3 Tl 0.250 0.750 0.275
4 Tl 0.750 0.250 0.725
5 Tl 0.750 0.626 0.809
6 Tl 0.750 0.874 0.809
7 Sb 0.250 0.103 0.606
8 Sb 0.250 0.397 0.606
9 Sb 0.250 0.619 0.028
10 Sb 0.250 0.750 0.719
11 Sb 0.250 0.881 0.028
12 Sb 0.750 0.119 0.972
13 Sb 0.750 0.250 0.281
14 Sb 0.750 0.381 0.972
15 Sb 0.750 0.603 0.394
16 Sb 0.750 0.897 0.394
17 Pb 0.250 0.030 0.854
18 Pb 0.250 0.250 0.460
19 Pb 0.250 0.250 0.955
20 Pb 0.250 0.470 0.854
21 Pb 0.250 0.578 0.566
22 Pb 0.250 0.922 0.566
23 Pb 0.750 0.078 0.434
24 Pb 0.750 0.422 0.434
25 Pb 0.750 0.530 0.146
26 Pb 0.750 0.750 0.045
27 Pb 0.750 0.750 0.540
28 Pb 0.750 0.970 0.146